1.
Starting from a DFT-relaxed cell (GGA-PBE, OQMD), the XRD peak list of Dy2Y2BBr3Cl2 was computed for copper Kα.
Neutral-atom scattering factors, no anomalous dispersion.

Peak list (8 most intense, 2θ = 10–90°, by angle)
d/Å, 2theta, I_rel, (hkl)
8.659, 10.22, 67, 2 0 0
7.922, 11.17, 46, 0 0 1
3.794, 23.45, 19, 1 1 0
2.886, 30.98, 50, 6 0 0
2.808, 31.87, 100, 1 1 -2
2.587, 34.68, 37, 5 1 0
2.019, 44.89, 32, 5 1 2
2.006, 45.20, 30, 7 1 -2

Atomic structure:
```
data_Dy2Y2BBr3Cl2
_chemical_formula_sum 'Dy4 Y4 B2 Br6 Cl4'
_cell_length_a 17.7500
_cell_length_b 3.8885
_cell_length_c 8.1197
_cell_angle_alpha 90.00
_cell_angle_beta 102.67
_cell_angle_gamma 90.00
_symmetry_space_group_name_H-M 'C 1 2/m 1'
_symmetry_Int_Tables_number 12
_symmetry_space_group_name_Hall '-C 2y'
loop_
_atom_site_label
_atom_site_fract_x
_atom_site_fract_y
_atom_site_fract_z
_atom_site_occupancy
Dy1 0.9998 0.0000 0.2086 1
Y1 0.1435 0.5000 0.0777 1
B1 0.0000 0.5000 0.0000 1
Br1 0.0000 0.5000 0.5000 1
Br2 0.1727 0.0000 0.8289 1
Cl1 0.1600 0.0000 0.3204 1
```

2.
Starting from a DFT-relaxed cell (GGA-PBE, OQMD), the XRD peak list of Sm2Ho2BBr3Cl2 was computed for copper Kα.
Neutral-atom scattering factors, no anomalous dispersion.

Peak list (8 most intense, 2θ = 10–90°, by angle)
d/Å, 2theta, I_rel, (hkl)
8.747, 10.11, 44, 2 0 0
7.882, 11.23, 65, 0 0 1
2.916, 30.66, 50, 6 0 0
2.872, 31.14, 21, 3 1 1
2.813, 31.81, 100, 1 1 -2
2.614, 34.30, 19, 5 1 -1
2.029, 44.65, 42, 7 1 -2
2.018, 44.91, 33, 5 1 2

Atomic structure:
```
data_Sm2Ho2BBr3Cl2
_chemical_formula_sum 'Sm4 Ho4 B2 Br6 Cl4'
_cell_length_a 17.9940
_cell_length_b 3.9070
_cell_length_c 8.1069
_cell_angle_alpha 90.00
_cell_angle_beta 103.53
_cell_angle_gamma 90.00
_symmetry_space_group_name_H-M 'C 1 2/m 1'
_symmetry_Int_Tables_number 12
_symmetry_space_group_name_Hall '-C 2y'
loop_
_atom_site_label
_atom_site_fract_x
_atom_site_fract_y
_atom_site_fract_z
_atom_site_occupancy
Sm1 0.1456 0.0000 0.0840 1
Ho1 0.0000 0.5000 0.2080 1
B1 0.0000 0.0000 0.0000 1
Br1 0.0000 0.0000 0.5000 1
Br2 0.1688 0.5000 0.8226 1
Cl1 0.1565 0.5000 0.3350 1
```

3.
Starting from a DFT-relaxed cell (GGA-PBE, OQMD), the XRD peak list of La2Sm2BBr3Cl2 was computed for copper Kα.
Neutral-atom scattering factors, no anomalous dispersion.

Peak list (8 most intense, 2θ = 10–90°, by angle)
d/Å, 2theta, I_rel, (hkl)
8.023, 11.03, 50, 0 0 1
2.991, 29.87, 52, 6 0 0
2.945, 30.35, 19, 3 1 1
2.898, 30.85, 100, 1 1 -2
2.109, 42.88, 31, 7 1 -2
2.055, 44.07, 35, 5 1 2
2.024, 44.77, 19, 0 2 0
1.676, 54.75, 28, 6 2 0

Atomic structure:
```
data_La2Sm2BBr3Cl2
_chemical_formula_sum 'La4 Sm4 B2 Br6 Cl4'
_cell_length_a 18.5858
_cell_length_b 4.0483
_cell_length_c 8.3080
_cell_angle_alpha 90.00
_cell_angle_beta 105.05
_cell_angle_gamma 90.00
_symmetry_space_group_name_H-M 'C 1 2/m 1'
_symmetry_Int_Tables_number 12
_symmetry_space_group_name_Hall '-C 2y'
loop_
_atom_site_label
_atom_site_fract_x
_atom_site_fract_y
_atom_site_fract_z
_atom_site_occupancy
La1 0.1490 0.0000 0.0925 1
Sm1 0.0004 0.5000 0.2121 1
B1 0.0000 0.0000 0.0000 1
Br1 0.0000 0.0000 0.5000 1
Br2 0.1667 0.5000 0.8248 1
Cl1 0.1577 0.5000 0.3437 1
```

4.
Starting from a DFT-relaxed cell (GGA-PBE, OQMD), the XRD peak list of Nd4BBr2Cl3 was computed for copper Kα.
Neutral-atom scattering factors, no anomalous dispersion.

Peak list (8 most intense, 2θ = 10–90°, by angle)
d/Å, 2theta, I_rel, (hkl)
7.959, 11.12, 76, 0 0 1
2.992, 29.86, 47, 6 0 0
2.866, 31.20, 100, 1 1 -2
2.675, 33.50, 27, 5 1 0
2.084, 43.42, 28, 7 1 -2
2.056, 44.05, 33, 5 1 2
2.005, 45.23, 19, 0 2 0
1.666, 55.14, 19, 6 2 0

Atomic structure:
```
data_Nd4BBr2Cl3
_chemical_formula_sum 'Nd8 B2 Br4 Cl6'
_cell_length_a 18.4963
_cell_length_b 4.0097
_cell_length_c 8.2004
_cell_angle_alpha 90.00
_cell_angle_beta 103.94
_cell_angle_gamma 90.00
_symmetry_space_group_name_H-M 'C 1 2/m 1'
_symmetry_Int_Tables_number 12
_symmetry_space_group_name_Hall '-C 2y'
loop_
_atom_site_label
_atom_site_fract_x
_atom_site_fract_y
_atom_site_fract_z
_atom_site_occupancy
Nd1 0.0000 0.0000 0.2221 1
Nd2 0.1451 0.5000 0.0865 1
B1 0.0000 0.5000 0.0000 1
Br1 0.1706 0.0000 0.8298 1
Cl1 0.0000 0.5000 0.5000 1
Cl2 0.1601 0.0000 0.3356 1
```

5.
Starting from a DFT-relaxed cell (GGA-PBE, OQMD), the XRD peak list of Nd2Sm2B2Br3Cl2 was computed for copper Kα.
Neutral-atom scattering factors, no anomalous dispersion.

Peak list (8 most intense, 2θ = 10–90°, by angle)
d/Å, 2theta, I_rel, (hkl)
8.023, 11.03, 68, 0 0 1
5.589, 15.86, 21, 2 0 1
3.270, 27.27, 98, 6 0 0
2.862, 31.25, 100, 1 1 -2
2.788, 32.11, 23, 5 1 -1
2.180, 41.42, 40, 7 1 -2
2.128, 42.49, 43, 5 1 2
1.697, 54.04, 23, 6 2 0

Atomic structure:
```
data_Nd2Sm2B2Br3Cl2
_chemical_formula_sum 'Nd4 Sm4 B4 Br6 Cl4'
_cell_length_a 20.1963
_cell_length_b 3.9713
_cell_length_c 8.2628
_cell_angle_alpha 90.00
_cell_angle_beta 103.83
_cell_angle_gamma 90.00
_symmetry_space_group_name_H-M 'C 1 2/m 1'
_symmetry_Int_Tables_number 12
_symmetry_space_group_name_Hall '-C 2y'
loop_
_atom_site_label
_atom_site_fract_x
_atom_site_fract_y
_atom_site_fract_z
_atom_site_occupancy
Nd1 0.0019 0.0000 0.2074 1
Sm1 0.1608 0.5000 0.1094 1
B1 0.0401 0.5000 0.0243 1
Br1 0.0000 0.5000 0.5000 1
Br2 0.1707 0.0000 0.8470 1
Cl1 0.1607 0.0000 0.3425 1
```

6.
Starting from a DFT-relaxed cell (GGA-PBE, OQMD), the XRD peak list of Nd2Y2BBr3Cl2 was computed for copper Kα.
Neutral-atom scattering factors, no anomalous dispersion.

Peak list (8 most intense, 2θ = 10–90°, by angle)
d/Å, 2theta, I_rel, (hkl)
7.929, 11.16, 61, 0 0 1
2.945, 30.36, 48, 6 0 0
2.895, 30.88, 23, 3 1 1
2.839, 31.51, 100, 1 1 -2
2.645, 33.89, 29, 5 1 -1
2.057, 44.02, 28, 7 1 -2
2.031, 44.62, 33, 5 1 2
1.974, 45.98, 18, 0 2 0

Atomic structure:
```
data_Nd2Y2BBr3Cl2
_chemical_formula_sum 'Nd4 Y4 B2 Br6 Cl4'
_cell_length_a 18.2097
_cell_length_b 3.9474
_cell_length_c 8.1729
_cell_angle_alpha 90.00
_cell_angle_beta 104.02
_cell_angle_gamma 90.00
_symmetry_space_group_name_H-M 'C 1 2/m 1'
_symmetry_Int_Tables_number 12
_symmetry_space_group_name_Hall '-C 2y'
loop_
_atom_site_label
_atom_site_fract_x
_atom_site_fract_y
_atom_site_fract_z
_atom_site_occupancy
Nd1 0.1466 0.0000 0.0862 1
Y1 0.0003 0.5000 0.2092 1
B1 0.0000 0.0000 0.0000 1
Br1 0.0000 0.0000 0.5000 1
Br2 0.1674 0.5000 0.8215 1
Cl1 0.1563 0.5000 0.3390 1
```

7.
Starting from a DFT-relaxed cell (GGA-PBE, OQMD), the XRD peak list of Pr4BBr2Cl3 was computed for copper Kα.
Neutral-atom scattering factors, no anomalous dispersion.

Peak list (8 most intense, 2θ = 10–90°, by angle)
d/Å, 2theta, I_rel, (hkl)
8.012, 11.04, 73, 0 0 1
3.359, 26.54, 22, 2 0 2
3.009, 29.69, 47, 6 0 0
2.893, 30.91, 100, 1 1 -2
2.694, 33.25, 19, 5 1 0
2.109, 42.88, 28, 7 1 -2
2.063, 43.89, 33, 5 1 2
1.679, 54.65, 24, 4 0 4

Atomic structure:
```
data_Pr4BBr2Cl3
_chemical_formula_sum 'Pr8 B2 Br4 Cl6'
_cell_length_a 18.6568
_cell_length_b 4.0471
_cell_length_c 8.2802
_cell_angle_alpha 90.00
_cell_angle_beta 104.63
_cell_angle_gamma 90.00
_symmetry_space_group_name_H-M 'C 1 2/m 1'
_symmetry_Int_Tables_number 12
_symmetry_space_group_name_Hall '-C 2y'
loop_
_atom_site_label
_atom_site_fract_x
_atom_site_fract_y
_atom_site_fract_z
_atom_site_occupancy
Pr1 0.0003 0.0000 0.2228 1
Pr2 0.1457 0.5000 0.0895 1
B1 0.0000 0.5000 0.0000 1
Br1 0.1700 0.0000 0.8335 1
Cl1 0.0000 0.5000 0.5000 1
Cl2 0.1608 0.0000 0.3379 1
```

8.
Starting from a DFT-relaxed cell (GGA-PBE, OQMD), the XRD peak list of Sm4BBr2Cl3 was computed for copper Kα.
Neutral-atom scattering factors, no anomalous dispersion.

Peak list (8 most intense, 2θ = 10–90°, by angle)
d/Å, 2theta, I_rel, (hkl)
8.836, 10.01, 23, 2 0 0
7.859, 11.26, 81, 0 0 1
2.945, 30.35, 47, 6 0 0
2.824, 31.68, 100, 1 1 -2
2.641, 33.94, 23, 5 1 -1
2.633, 34.06, 21, 5 1 0
2.050, 44.19, 28, 7 1 -2
2.028, 44.70, 32, 5 1 2

Atomic structure:
```
data_Sm4BBr2Cl3
_chemical_formula_sum 'Sm8 B2 Br4 Cl6'
_cell_length_a 18.1927
_cell_length_b 3.9457
_cell_length_c 8.0905
_cell_angle_alpha 90.00
_cell_angle_beta 103.74
_cell_angle_gamma 90.00
_symmetry_space_group_name_H-M 'C 1 2/m 1'
_symmetry_Int_Tables_number 12
_symmetry_space_group_name_Hall '-C 2y'
loop_
_atom_site_label
_atom_site_fract_x
_atom_site_fract_y
_atom_site_fract_z
_atom_site_occupancy
Sm1 0.0001 0.0000 0.2203 1
Sm2 0.1446 0.5000 0.0849 1
B1 0.0000 0.5000 0.0000 1
Br1 0.1710 0.0000 0.8288 1
Cl1 0.0000 0.5000 0.5000 1
Cl2 0.1606 0.0000 0.3343 1
```

9.
Starting from a DFT-relaxed cell (GGA-PBE, OQMD), the XRD peak list of Sm4B2Br2Cl3 was computed for copper Kα.
Neutral-atom scattering factors, no anomalous dispersion.

Peak list (8 most intense, 2θ = 10–90°, by angle)
d/Å, 2theta, I_rel, (hkl)
7.708, 11.48, 41, 0 0 1
5.483, 16.17, 29, 2 0 1
3.268, 27.29, 85, 6 0 0
3.215, 27.75, 39, 3 1 -1
2.951, 30.29, 25, 3 1 1
2.779, 32.21, 100, 1 1 -2
2.141, 42.21, 39, 7 1 -2
2.094, 43.20, 45, 5 1 2

Atomic structure:
```
data_Sm4B2Br2Cl3
_chemical_formula_sum 'Sm8 B4 Br4 Cl6'
_cell_length_a 20.1373
_cell_length_b 3.9051
_cell_length_c 7.9154
_cell_angle_alpha 90.00
_cell_angle_beta 103.16
_cell_angle_gamma 90.00
_symmetry_space_group_name_H-M 'C 1 2/m 1'
_symmetry_Int_Tables_number 12
_symmetry_space_group_name_Hall '-C 2y'
loop_
_atom_site_label
_atom_site_fract_x
_atom_site_fract_y
_atom_site_fract_z
_atom_site_occupancy
Sm1 0.0034 0.0000 0.2144 1
Sm2 0.1618 0.5000 0.1019 1
B1 0.0402 0.5000 0.0206 1
Br1 0.1626 0.0000 0.3748 1
Cl1 0.0000 0.5000 0.5000 1
Cl2 0.1775 0.0000 0.8604 1
```

10.
Starting from a DFT-relaxed cell (GGA-PBE, OQMD), the XRD peak list of Sm4BBrCl4 was computed for copper Kα.
Neutral-atom scattering factors, no anomalous dispersion.

Peak list (8 most intense, 2θ = 10–90°, by angle)
d/Å, 2theta, I_rel, (hkl)
8.548, 10.35, 39, 2 0 0
8.079, 10.95, 50, 0 0 1
3.250, 27.44, 20, 3 1 0
3.176, 28.09, 17, 3 1 -1
2.872, 31.14, 100, 1 1 -2
2.849, 31.40, 35, 6 0 0
2.032, 44.58, 23, 7 1 -2
2.012, 45.05, 24, 5 1 2

Atomic structure:
```
data_Sm4BBrCl4
_chemical_formula_sum 'Sm8 B2 Br2 Cl8'
_cell_length_a 17.6573
_cell_length_b 3.9570
_cell_length_c 8.3439
_cell_angle_alpha 90.00
_cell_angle_beta 104.49
_cell_angle_gamma 90.00
_symmetry_space_group_name_H-M 'C 1 2/m 1'
_symmetry_Int_Tables_number 12
_symmetry_space_group_name_Hall '-C 2y'
loop_
_atom_site_label
_atom_site_fract_x
_atom_site_fract_y
_atom_site_fract_z
_atom_site_occupancy
Sm1 0.0008 0.0000 0.2883 1
Sm2 0.1489 0.5000 0.5857 1
B1 0.0000 0.5000 0.5000 1
Br1 0.0000 0.5000 0.0000 1
Cl1 0.1654 0.0000 0.8272 1
Cl2 0.1705 0.0000 0.3549 1
```

11.
Starting from a DFT-relaxed cell (GGA-PBE, OQMD), the XRD peak list of Nd2Dy2BIBr4 was computed for copper Kα.
Neutral-atom scattering factors, no anomalous dispersion.

Peak list (8 most intense, 2θ = 10–90°, by angle)
d/Å, 2theta, I_rel, (hkl)
8.695, 10.17, 45, 0 0 1
4.361, 20.36, 15, 4 0 -1
2.990, 29.88, 100, 1 1 -2
2.951, 30.28, 35, 6 0 0
2.116, 42.74, 22, 5 1 2
2.086, 43.37, 22, 7 1 -2
2.016, 44.96, 15, 0 2 0
1.496, 62.04, 16, 2 2 -4

Atomic structure:
```
data_Nd2Dy2BIBr4
_chemical_formula_sum 'Nd4 Dy4 B2 I2 Br8'
_cell_length_a 18.1737
_cell_length_b 4.0325
_cell_length_c 8.9235
_cell_angle_alpha 90.00
_cell_angle_beta 103.01
_cell_angle_gamma 90.00
_symmetry_space_group_name_H-M 'C 1 2/m 1'
_symmetry_Int_Tables_number 12
_symmetry_space_group_name_Hall '-C 2y'
loop_
_atom_site_label
_atom_site_fract_x
_atom_site_fract_y
_atom_site_fract_z
_atom_site_occupancy
Nd1 0.0007 0.0000 0.2987 1
Dy1 0.1417 0.5000 0.5698 1
B1 0.0000 0.5000 0.5000 1
I1 0.0000 0.5000 0.0000 1
Br1 0.1699 0.0000 0.8069 1
Br2 0.1745 0.0000 0.3553 1
```

12.
Starting from a DFT-relaxed cell (GGA-PBE, OQMD), the XRD peak list of Dy2Y2BIBr4 was computed for copper Kα.
Neutral-atom scattering factors, no anomalous dispersion.

Peak list (8 most intense, 2θ = 10–90°, by angle)
d/Å, 2theta, I_rel, (hkl)
8.706, 10.16, 30, 2 0 0
8.325, 10.63, 14, 0 0 1
2.905, 30.78, 100, 6 0 0
2.630, 34.09, 14, 4 0 -3
2.060, 43.96, 21, 5 1 2
2.048, 44.23, 21, 7 1 -2
1.981, 45.80, 13, 0 2 0
1.636, 56.22, 13, 6 2 0

Atomic structure:
```
data_Dy2Y2BIBr4
_chemical_formula_sum 'Dy4 Y4 B2 I2 Br8'
_cell_length_a 17.8948
_cell_length_b 3.9626
_cell_length_c 8.5559
_cell_angle_alpha 90.00
_cell_angle_beta 103.35
_cell_angle_gamma 90.00
_symmetry_space_group_name_H-M 'C 1 2/m 1'
_symmetry_Int_Tables_number 12
_symmetry_space_group_name_Hall '-C 2y'
loop_
_atom_site_label
_atom_site_fract_x
_atom_site_fract_y
_atom_site_fract_z
_atom_site_occupancy
Dy1 0.9999 0.0000 0.1972 1
Y1 0.1432 0.5000 0.0733 1
B1 0.0000 0.5000 0.0000 1
I1 0.0000 0.5000 0.5000 1
Br1 0.1670 0.0000 0.3242 1
Br2 0.1720 0.0000 0.8416 1
```

13.
Starting from a DFT-relaxed cell (GGA-PBE, OQMD), the XRD peak list of Pr2Dy2BBr5 was computed for copper Kα.
Neutral-atom scattering factors, no anomalous dispersion.

Peak list (8 most intense, 2θ = 10–90°, by angle)
d/Å, 2theta, I_rel, (hkl)
8.396, 10.54, 57, 0 0 1
2.968, 30.11, 60, 6 0 0
2.932, 30.49, 100, 1 1 -2
2.664, 33.64, 28, 5 1 0
2.099, 43.09, 27, 5 1 2
2.073, 43.66, 27, 7 1 -2
2.004, 45.24, 18, 0 2 0
1.661, 55.30, 17, 6 2 0

Atomic structure:
```
data_Pr2Dy2BBr5
_chemical_formula_sum 'Pr4 Dy4 B2 Br10'
_cell_length_a 18.2504
_cell_length_b 4.0084
_cell_length_c 8.6028
_cell_angle_alpha 90.00
_cell_angle_beta 102.59
_cell_angle_gamma 90.00
_symmetry_space_group_name_H-M 'C 1 2/m 1'
_symmetry_Int_Tables_number 12
_symmetry_space_group_name_Hall '-C 2y'
loop_
_atom_site_label
_atom_site_fract_x
_atom_site_fract_y
_atom_site_fract_z
_atom_site_occupancy
Pr1 0.0015 0.0000 0.2874 1
Dy1 0.1411 0.5000 0.5728 1
B1 0.0000 0.5000 0.5000 1
Br1 0.0000 0.5000 0.0000 1
Br2 0.1691 0.0000 0.8193 1
Br3 0.1754 0.0000 0.3506 1
```